Diffraction record for La3Y3Tm2. The powder X-ray diffraction pattern is calculated, not measured: it uses a DFT-relaxed cell (GGA-PBE, Alexandria) and CuKα.
No peak broadening, texture or thermal motion is included.

The 10 most intense peaks (5° ≤ 2θ ≤ 70°), by intensity:
- 30.23 deg, d 2.956, intensity 1000
- 34.77 deg, d 2.580, intensity 172
- 34.96 deg, d 2.567, intensity 168
- 35.41 deg, d 2.535, intensity 167
- 59.55 deg, d 1.552, intensity 144
- 59.79 deg, d 1.547, intensity 140
- 60.39 deg, d 1.533, intensity 138
- 62.87 deg, d 1.478, intensity 121
- 50.47 deg, d 1.808, intensity 121
- 50.13 deg, d 1.820, intensity 120

Structure:
Unit cell a=10.886 b=10.886 c=10.886 alpha=153.07 beta=152.58 gamma=38.81
Sites, in units of the cell vectors:
La (0.000, 0.000, 0.000)
La (0.373, 0.873, 0.500)
La (0.627, 0.127, 0.500)
Y (0.129, 0.629, 0.500)
Y (0.500, 0.500, 0.000)
Y (0.871, 0.371, 0.500)
Tm (0.249, 0.249, 0.000)
Tm (0.751, 0.751, 0.000)